Theoretical PXRD pattern
Compound: Na2CdCoF6
Radiation: copper Kα
Structure: a GGA+U-relaxed structure
No peak broadening, texture or thermal motion is included.

Peak list (8 most intense, 5° ≤ 2θ ≤ 70°, by intensity)
h k l	2θ/deg	Rel. int.
1 1 -1	21.9	100
1 1 1	31.0	46
1 1 -3	31.2	46
2 2 -2	44.7	29
0 2 0	30.5	22
3 1 -1	56.0	18
2 2 -4	50.3	17
2 0 -2	31.8	16

Atomic structure:
```
data_Na2CdCoF6
_cell_length_a 5.6304
_cell_length_b 5.8570
_cell_length_c 9.8563
_cell_angle_alpha 90.00
_cell_angle_beta 124.37
_cell_angle_gamma 90.00
_space_group_name_H-M_alt 'P 1'
_space_group_IT_number 1
loop_
_space_group_symop_operation_xyz
'x,y,z'
loop_
_atom_site_label
_atom_site_fract_x
_atom_site_fract_y
_atom_site_fract_z
_atom_site_occupancy
Na1 0.2302 0.0602 0.2483 1
Na2 0.2302 0.4398 0.7483 1
Na3 0.7698 0.5602 0.2517 1
Na4 0.7698 0.9398 0.7517 1
Cd1 0.5000 0.0000 0.0000 1
Cd2 0.5000 0.5000 0.5000 1
Co1 0.0000 0.0000 0.5000 1
Co2 0.0000 0.5000 0.0000 1
F1 0.1090 0.2062 0.9318 1
F2 0.1090 0.2938 0.4318 1
F3 0.2298 0.6836 0.9342 1
F4 0.2298 0.8164 0.4342 1
F5 0.3629 0.0591 0.7369 1
F6 0.3629 0.4409 0.2369 1
F7 0.6371 0.5591 0.7631 1
F8 0.6371 0.9409 0.2631 1
F9 0.7702 0.1836 0.5658 1
F10 0.7702 0.3164 0.0658 1
F11 0.8910 0.7062 0.5682 1
F12 0.8910 0.7938 0.0682 1
```